[1]
For NpGa5Ni, a cell relaxed with PBE gives the computed PXRD pattern in this record (Cu Kα X-rays).

Structural model:
abc: 4.2475 4.2475 6.8723
angles: 90.00 90.00 90.00
Fractional positions:
Np (0.0000, 0.0000, 0.0000)
Ga (0.0000, 0.5000, 0.3064)
Ga (0.0000, 0.5000, 0.6936)
Ga (0.5000, 0.0000, 0.3064)
Ga (0.5000, 0.0000, 0.6936)
Ga (0.5000, 0.5000, 0.0000)
Ni (0.0000, 0.0000, 0.5000)

Peak list (6 most intense, 5 to 70 degrees two-theta, in order of rising 2θ)
Position (°2θ)  I (rel.)
20.91  36
32.54  57
33.55  23
39.86  100
42.57  52
59.34  22



[2]
For NdTa2O6F, a cell relaxed with PBE gives the computed PXRD pattern in this record (Cu Kα X-rays).

Structural model:
abc: 7.4392 7.4392 7.4392
angles: 120.52 118.65 90.73
Fractional positions:
Nd (0.0000, 0.0000, 0.0000)
Nd (0.5000, 0.0000, 0.5000)
Ta (0.0000, 0.5000, 0.5000)
Ta (0.5000, 0.0000, 0.0000)
Ta (0.5000, 0.5000, 0.0000)
Ta (0.5000, 0.5000, 0.5000)
O (0.1858, 0.4191, 0.3635)
O (0.1858, 0.8223, 0.7667)
O (0.1970, 0.4470, 0.7500)
O (0.4237, 0.1737, 0.2500)
O (0.4445, 0.1777, 0.8635)
O (0.4445, 0.5809, 0.2667)
O (0.5555, 0.4191, 0.7333)
O (0.5555, 0.8223, 0.1365)
O (0.5763, 0.8263, 0.7500)
O (0.8030, 0.5530, 0.2500)
O (0.8142, 0.1777, 0.2333)
O (0.8142, 0.5809, 0.6365)
F (0.1346, 0.8846, 0.2500)
F (0.8654, 0.1154, 0.7500)

Peak list (6 most intense, 5 to 70 degrees two-theta, in order of rising 2θ)
Position (°2θ)  I (rel.)
14.42  80
28.20  50
29.08  100
29.63  98
33.88  45
48.99  59



[3]
For Mg6CuBi, a cell relaxed with PBE gives the computed PXRD pattern in this record (Cu Kα X-rays).

Structural model:
abc: 5.0213 6.2047 11.4687
angles: 90.00 90.00 90.00
Fractional positions:
Mg (0.0000, 0.0000, 0.0000)
Mg (0.0000, 0.2407, 0.7402)
Mg (0.0000, 0.2593, 0.2402)
Mg (0.0000, 0.5000, 0.5000)
Mg (0.0000, 0.7407, 0.2402)
Mg (0.0000, 0.7593, 0.7402)
Mg (0.5000, 0.0000, 0.1587)
Mg (0.5000, 0.2443, 0.9056)
Mg (0.5000, 0.2557, 0.4056)
Mg (0.5000, 0.5000, 0.6587)
Mg (0.5000, 0.7443, 0.4056)
Mg (0.5000, 0.7557, 0.9056)
Cu (0.5000, 0.0000, 0.7125)
Cu (0.5000, 0.5000, 0.2125)
Bi (0.0000, 0.0000, 0.4949)
Bi (0.0000, 0.5000, 0.9949)

Peak list (6 most intense, 5 to 70 degrees two-theta, in order of rising 2θ)
Position (°2θ)  I (rel.)
16.24  83
23.55  57
24.08  69
32.80  57
35.76  34
37.51  100



[4]
For BaAsPt, a cell relaxed with PBE gives the computed PXRD pattern in this record (Cu Kα X-rays).

Structural model:
abc: 6.8293 6.8293 6.8293
angles: 90.00 90.00 90.00
Fractional positions:
Ba (0.1101, 0.1101, 0.1101)
Ba (0.3899, 0.8899, 0.6101)
Ba (0.6101, 0.3899, 0.8899)
Ba (0.8899, 0.6101, 0.3899)
As (0.1712, 0.3288, 0.6712)
As (0.3288, 0.6712, 0.1712)
As (0.6712, 0.1712, 0.3288)
As (0.8288, 0.8288, 0.8288)
Pt (0.0956, 0.5956, 0.9044)
Pt (0.4044, 0.4044, 0.4044)
Pt (0.5956, 0.9044, 0.0956)
Pt (0.9044, 0.0956, 0.5956)

Peak list (6 most intense, 5 to 70 degrees two-theta, in order of rising 2θ)
Position (°2θ)  I (rel.)
18.37  21
29.24  100
32.10  99
39.59  20
49.97  65
55.48  18



[5]
For U2S3, a cell relaxed with PBE gives the computed PXRD pattern in this record (Cu Kα X-rays).

Structural model:
abc: 10.4192 3.9179 11.6116
angles: 90.00 90.00 90.00
Fractional positions:
U (0.0149, 0.2500, 0.1482)
U (0.1796, 0.2500, 0.5078)
U (0.3204, 0.7500, 0.0078)
U (0.4851, 0.7500, 0.6482)
U (0.5149, 0.2500, 0.3518)
U (0.6796, 0.2500, 0.9922)
U (0.8204, 0.7500, 0.4922)
U (0.9851, 0.7500, 0.8518)
S (0.0439, 0.7500, 0.6179)
S (0.1457, 0.2500, 0.9411)
S (0.1763, 0.7500, 0.2065)
S (0.3237, 0.2500, 0.7065)
S (0.3543, 0.7500, 0.4411)
S (0.4561, 0.2500, 0.1179)
S (0.5439, 0.7500, 0.8821)
S (0.6457, 0.2500, 0.5589)
S (0.6763, 0.7500, 0.2935)
S (0.8237, 0.2500, 0.7935)
S (0.8543, 0.7500, 0.0589)
S (0.9561, 0.2500, 0.3821)

Peak list (6 most intense, 5 to 70 degrees two-theta, in order of rising 2θ)
Position (°2θ)  I (rel.)
24.53  100
25.47  61
26.79  83
29.55  79
35.40  78
46.31  64



[6]
For LaCo2, a cell relaxed with PBE gives the computed PXRD pattern in this record (Cu Kα X-rays).

Structural model:
abc: 5.1976 5.1976 5.1976
angles: 60.00 60.00 60.00
Fractional positions:
La (0.1250, 0.1250, 0.1250)
La (0.8750, 0.8750, 0.8750)
Co (0.0000, 0.5000, 0.5000)
Co (0.5000, 0.0000, 0.5000)
Co (0.5000, 0.5000, 0.0000)
Co (0.5000, 0.5000, 0.5000)

Peak list (6 most intense, 5 to 70 degrees two-theta, in order of rising 2θ)
Position (°2θ)  I (rel.)
20.93  8
34.51  59
40.71  100
42.61  18
61.83  22
66.04  30



[7]
For Ba3FeS5, a cell relaxed with PBE gives the computed PXRD pattern in this record (Cu Kα X-rays).

Structural model:
abc: 12.0638 9.6104 8.5463
angles: 90.00 90.00 90.00
Fractional positions:
Ba (0.0165, 0.2500, 0.0952)
Ba (0.1779, 0.0190, 0.5885)
Ba (0.1779, 0.4810, 0.5885)
Ba (0.3221, 0.5190, 0.0885)
Ba (0.3221, 0.9810, 0.0885)
Ba (0.4835, 0.7500, 0.5952)
Ba (0.5165, 0.2500, 0.4048)
Ba (0.6779, 0.0190, 0.9115)
Ba (0.6779, 0.4810, 0.9115)
Ba (0.8221, 0.5190, 0.4115)
Ba (0.8221, 0.9810, 0.4115)
Ba (0.9835, 0.7500, 0.9048)
Fe (0.1000, 0.7500, 0.3125)
Fe (0.4000, 0.2500, 0.8125)
Fe (0.6000, 0.7500, 0.1875)
Fe (0.9000, 0.2500, 0.6875)
S (0.0034, 0.7500, 0.5264)
S (0.0609, 0.5551, 0.1941)
S (0.0609, 0.9449, 0.1941)
S (0.2217, 0.2500, 0.8664)
S (0.2373, 0.7500, 0.8292)
S (0.2627, 0.2500, 0.3292)
S (0.2783, 0.7500, 0.3664)
S (0.4391, 0.0551, 0.6941)
S (0.4391, 0.4449, 0.6941)
S (0.4966, 0.2500, 0.0264)
S (0.5034, 0.7500, 0.9736)
S (0.5609, 0.5551, 0.3059)
S (0.5609, 0.9449, 0.3059)
S (0.7217, 0.2500, 0.6336)
S (0.7373, 0.7500, 0.6708)
S (0.7627, 0.2500, 0.1708)
S (0.7783, 0.7500, 0.1336)
S (0.9391, 0.0551, 0.8059)
S (0.9391, 0.4449, 0.8059)
S (0.9966, 0.2500, 0.4736)

Peak list (6 most intense, 5 to 70 degrees two-theta, in order of rising 2θ)
Position (°2θ)  I (rel.)
22.47  42
23.67  53
24.46  74
28.92  100
31.46  38
37.43  43